For SbSeI3, a crystal structure in Alexandria, relaxed with GGA-PBE gives the simulated powder XRD pattern in this record (Cu Ka).
Intensities are scaled so that the largest is 100.

```
SbSeI3
1.0
7.906 0.000 0.000
0.000 9.371 0.000
-0.512 0.000 15.621
Sb Se I
4 4 12
direct
0.065 0.119 0.382
0.065 0.881 0.882
0.935 0.119 0.118
0.935 0.881 0.618
0.040 0.395 0.323
0.040 0.605 0.823
0.960 0.395 0.177
0.960 0.605 0.677
0.131 0.200 0.969
0.131 0.800 0.469
0.249 0.034 0.213
0.249 0.966 0.713
0.343 0.346 0.426
0.343 0.654 0.926
0.657 0.346 0.074
0.657 0.654 0.574
0.751 0.034 0.287
0.751 0.966 0.787
0.869 0.200 0.531
0.869 0.800 0.031
```

Main lines, in order of falling intensity (2θ from 10° to 90°):
(0 1 1), d 8.036, 2θ 11.01, I 100; (1 0 0), d 7.902, 2θ 11.20, I 93; (0 2 2), d 4.018, 2θ 22.12, I 52; (1 0 -4), d 3.551, 2θ 25.08, I 50; (2 1 2), d 3.262, 2θ 27.34, I 40; (1 1 -5), d 2.804, 2θ 31.92, I 40